# 1
Theoretical X-ray powder pattern
Compound: GeH6CN3F3
Radiation: Cu Kα (λ = 1.5418 Å)
Structure: a DFT-relaxed cell (PBE, Alexandria)
Lines closer than 0.1° are merged.

Peak list (8 most intense, 10° ≤ 2θ ≤ 80°, most intense first)
13.76 deg, intensity 100, hkl 1 0 0; 13.96 deg, intensity 99, hkl 0 0 2; 24.05 deg, intensity 70, hkl 0 2 1; 14.40 deg, intensity 66, hkl 1 0 -2; 27.24 deg, intensity 44, hkl 1 2 -2; 27.00 deg, intensity 37, hkl 0 2 2; 18.43 deg, intensity 35, hkl 1 1 -2; 26.90 deg, intensity 34, hkl 1 2 0

Cell and atoms:
```
data_GeH6CN3F3
_chemical_formula_sum 'Ge4 H24 C4 N12 F12'
_cell_length_a 7.247
_cell_length_b 7.735
_cell_length_c 14.295
_cell_angle_alpha 90.00
_cell_angle_beta 117.40
_cell_angle_gamma 90.00
_symmetry_space_group_name_H-M 'P 1 21/c 1'
_symmetry_Int_Tables_number 14
loop_
_symmetry_equiv_pos_as_xyz
'x,y,z'
'-x,-y,-z'
'-x,y+1/2,-z+1/2'
'x,-y+1/2,z+1/2'
loop_
_atom_site_label
_atom_site_type_symbol
_atom_site_fract_x
_atom_site_fract_y
_atom_site_fract_z
_atom_site_occupancy
Ge1 Ge 0.047 0.036 0.228 1
H1 H 0.036 0.689 0.079 1
H2 H 0.040 0.715 0.958 1
H3 H 0.347 0.667 0.235 1
H4 H 0.360 0.712 0.459 1
H5 H 0.409 0.235 0.428 1
H6 H 0.420 0.229 0.264 1
C1 C 0.326 0.722 0.090 1
N1 N 0.119 0.714 0.039 1
N2 N 0.427 0.696 0.194 1
N3 N 0.434 0.742 0.537 1
F1 F 0.130 0.244 0.184 1
F2 F 0.138 0.130 0.364 1
F3 F 0.226 0.624 0.321 1
```

=====

# 2
Theoretical X-ray powder pattern
Compound: GeC2N6F6
Radiation: Cu Kα (λ = 1.5418 Å)
Structure: a DFT-relaxed cell (PBE, Alexandria)
Lines closer than 0.1° are merged.

Peak list (8 most intense, 10° ≤ 2θ ≤ 80°, most intense first)
15.92 deg, intensity 100, hkl 1 1 0; 22.72 deg, intensity 42, hkl 1 1 1; 24.57 deg, intensity 26, hkl 2 0 -2; 25.55 deg, intensity 25, hkl 3 1 -1; 31.16 deg, intensity 22, hkl 0 2 1; 15.55 deg, intensity 19, hkl 2 0 -1; 24.17 deg, intensity 17, hkl 2 0 1; 15.34 deg, intensity 15, hkl 2 0 0

Cell and atoms:
```
data_GeC2N6F6
_chemical_formula_sum 'Ge2 C4 N12 F12'
_cell_length_a 12.702
_cell_length_b 6.353
_cell_length_c 7.363
_cell_angle_alpha 90.00
_cell_angle_beta 114.55
_cell_angle_gamma 90.00
_symmetry_space_group_name_H-M 'C 1 m 1'
_symmetry_Int_Tables_number 8
loop_
_symmetry_equiv_pos_as_xyz
'x,y,z'
'x,-y,z'
'x+1/2,y+1/2,z'
'x+1/2,-y+1/2,z'
loop_
_atom_site_label
_atom_site_type_symbol
_atom_site_fract_x
_atom_site_fract_y
_atom_site_fract_z
_atom_site_occupancy
Ge1 Ge 0.000 0.000 0.000 1
C1 C 0.199 0.000 0.632 1
C2 C 0.277 0.500 0.288 1
N1 N 0.154 0.202 0.579 1
N2 N 0.275 0.301 0.340 1
N3 N 0.285 0.500 0.112 1
N4 N 0.308 0.000 0.747 1
F1 F 0.000 0.221 0.133 1
F2 F 0.048 0.215 0.592 1
F3 F 0.127 0.000 0.970 1
F4 F 0.387 0.500 0.769 1
```

=====

# 3
Theoretical X-ray powder pattern
Compound: HoH8C2O8F
Radiation: Cu Kα (λ = 1.5418 Å)
Structure: a DFT-relaxed cell (PBE, Alexandria)
Lines closer than 0.1° are merged.

Peak list (8 most intense, 10° ≤ 2θ ≤ 80°, most intense first)
12.37 deg, intensity 100, hkl 1 1 0; 21.41 deg, intensity 24, hkl 2 0 -2; 21.10 deg, intensity 21, hkl 0 2 1; 13.21 deg, intensity 19, hkl 1 1 -1; 24.50 deg, intensity 18, hkl 1 1 -2; 32.22 deg, intensity 14, hkl 1 3 1; 44.56 deg, intensity 14, hkl 2 4 1; 32.63 deg, intensity 14, hkl 0 2 2

Cell and atoms:
```
data_HoH8C2O8F
_chemical_formula_sum 'Ho4 H32 C8 O32 F4'
_cell_length_a 12.205
_cell_length_b 11.361
_cell_length_c 8.309
_cell_angle_alpha 90.00
_cell_angle_beta 130.96
_cell_angle_gamma 90.00
_symmetry_space_group_name_H-M 'C 1 2/c 1'
_symmetry_Int_Tables_number 15
loop_
_symmetry_equiv_pos_as_xyz
'x,y,z'
'-x,-y,-z'
'-x,y,-z+1/2'
'x,-y,z+1/2'
'x+1/2,y+1/2,z'
'-x+1/2,-y+1/2,-z'
'-x+1/2,y+1/2,-z+1/2'
'x+1/2,-y+1/2,z+1/2'
loop_
_atom_site_label
_atom_site_type_symbol
_atom_site_fract_x
_atom_site_fract_y
_atom_site_fract_z
_atom_site_occupancy
Ho1 Ho 0.000 0.064 0.250 1
H1 H 0.025 0.318 0.991 1
H2 H 0.116 0.242 0.960 1
H3 H 0.215 0.089 0.114 1
H4 H 0.233 0.397 0.020 1
C1 C 0.215 0.279 0.541 1
O1 O 0.099 0.232 0.482 1
O2 O 0.109 0.322 0.999 1
O3 O 0.182 0.084 0.969 1
O4 O 0.221 0.132 0.339 1
F1 F 0.000 0.000 0.000 1
```

=====

# 4
Theoretical X-ray powder pattern
Compound: H12OsC4NO4F
Radiation: Cu Kα (λ = 1.5418 Å)
Structure: a DFT-relaxed cell (PBE, Alexandria)
Lines closer than 0.1° are merged.

Peak list (8 most intense, 10° ≤ 2θ ≤ 80°, most intense first)
19.37 deg, intensity 100, hkl 1 2 0; 21.92 deg, intensity 94, hkl 0 2 2; 19.82 deg, intensity 90, hkl 1 0 2; 15.17 deg, intensity 64, hkl 0 2 0; 16.23 deg, intensity 60, hkl 1 1 1; 15.74 deg, intensity 59, hkl 0 0 2; 11.98 deg, intensity 53, hkl 1 0 0; 26.51 deg, intensity 47, hkl 2 1 1

Cell and atoms:
```
data_H12OsC4NO4F
_chemical_formula_sum 'H48 Os4 C16 N4 O16 F4'
_cell_length_a 7.390
_cell_length_b 11.681
_cell_length_c 11.263
_cell_angle_alpha 90.00
_cell_angle_beta 90.00
_cell_angle_gamma 90.00
_symmetry_space_group_name_H-M 'A e m 2'
_symmetry_Int_Tables_number 39
loop_
_symmetry_equiv_pos_as_xyz
'x,y,z'
'-x,-y,z'
'-x,y+1/2,z'
'x,-y+1/2,z'
'x,y+1/2,z+1/2'
'-x,-y+1/2,z+1/2'
'-x,y,z+1/2'
'x,-y,z+1/2'
loop_
_atom_site_label
_atom_site_type_symbol
_atom_site_fract_x
_atom_site_fract_y
_atom_site_fract_z
_atom_site_occupancy
H1 H 0.004 0.129 0.232 1
H2 H 0.063 0.126 0.495 1
H3 H 0.164 0.147 0.847 1
H4 H 0.196 0.041 0.734 1
H5 H 0.200 0.003 0.000 1
H6 H 0.236 0.101 0.385 1
Os1 Os 0.426 0.250 0.099 1
C1 C 0.096 0.086 0.789 1
C2 C 0.135 0.061 0.442 1
N1 N 0.000 0.000 0.365 1
O1 O 0.343 0.250 0.628 1
O2 O 0.364 0.122 0.167 1
O3 O 0.431 0.250 0.944 1
F1 F 0.139 0.250 0.063 1
```

=====

# 5
Theoretical X-ray powder pattern
Compound: SnH4C2NO4F
Radiation: Cu Kα (λ = 1.5418 Å)
Structure: a DFT-relaxed cell (PBE, Alexandria)
Lines closer than 0.1° are merged.

Peak list (8 most intense, 10° ≤ 2θ ≤ 80°, most intense first)
13.91 deg, intensity 100, hkl 1 1 0; 23.45 deg, intensity 47, hkl 2 1 0; 29.10 deg, intensity 37, hkl 0 3 1; 24.43 deg, intensity 34, hkl 1 1 -2; 10.81 deg, intensity 34, hkl 1 0 0; 21.90 deg, intensity 24, hkl 1 2 -1; 21.72 deg, intensity 21, hkl 2 0 0; 32.84 deg, intensity 17, hkl 3 0 0

Cell and atoms:
```
data_SnH4C2NO4F
_chemical_formula_sum 'Sn4 H16 C8 N4 O16 F4'
_cell_length_a 8.742
_cell_length_b 10.131
_cell_length_c 7.851
_cell_angle_alpha 90.00
_cell_angle_beta 110.62
_cell_angle_gamma 90.00
_symmetry_space_group_name_H-M 'P 1 21/c 1'
_symmetry_Int_Tables_number 14
loop_
_symmetry_equiv_pos_as_xyz
'x,y,z'
'-x,-y,-z'
'-x,y+1/2,-z+1/2'
'x,-y+1/2,z+1/2'
loop_
_atom_site_label
_atom_site_type_symbol
_atom_site_fract_x
_atom_site_fract_y
_atom_site_fract_z
_atom_site_occupancy
Sn1 Sn 0.146 0.185 0.462 1
H1 H 0.322 0.725 0.538 1
H2 H 0.337 0.646 0.183 1
H3 H 0.467 0.659 0.061 1
H4 H 0.481 0.737 0.735 1
C1 C 0.202 0.022 0.113 1
C2 C 0.221 0.017 0.923 1
N1 N 0.401 0.709 0.128 1
O1 O 0.194 0.581 0.694 1
O2 O 0.197 0.142 0.172 1
O3 O 0.202 0.127 0.836 1
O4 O 0.253 0.591 0.366 1
F1 F 0.399 0.149 0.572 1
```